1.
Computed powder XRD pattern of Ta3InO9 for λ = 1.5418 Å (Cu Kα), from a structure optimized by DFT (GGA-PBE).
Neutral-atom scattering factors, no anomalous dispersion.

Top 8 peaks for 2θ from 10° to 80°, low angle first:
23.76 deg, d = 3.745 Å, intensity 73, hkl 0 2 0; 26.73 deg, d = 3.335 Å, intensity 100, hkl 1 0 -2; 27.18 deg, d = 3.281 Å, intensity 81, hkl 1 0 2; 31.11 deg, d = 2.874 Å, intensity 42, hkl 1 2 -1; 31.32 deg, d = 2.856 Å, intensity 86, hkl 1 2 1; 34.41 deg, d = 2.606 Å, intensity 44, hkl 2 0 0; 36.09 deg, d = 2.489 Å, intensity 45, hkl 1 2 -2; 39.72 deg, d = 2.269 Å, intensity 43, hkl 0 2 3

Structural model:
Cell lengths 5.213, 7.489, 8.560 Å; angles 90.00, 90.95, 90.00 degrees
Sites, in units of the cell vectors:
1 Ta 0.000 0.000 0.000
2 Ta 0.000 0.500 0.000
3 Ta 0.481 0.003 0.698
4 Ta 0.481 0.497 0.698
5 Ta 0.519 0.503 0.302
6 Ta 0.519 0.997 0.302
7 In 0.038 0.250 0.471
8 In 0.962 0.750 0.529
9 O 0.102 0.250 0.981
10 O 0.174 0.565 0.798
11 O 0.174 0.935 0.798
12 O 0.254 0.550 0.480
13 O 0.254 0.950 0.480
14 O 0.312 0.555 0.131
15 O 0.312 0.945 0.131
16 O 0.343 0.250 0.657
17 O 0.381 0.250 0.326
18 O 0.619 0.750 0.674
19 O 0.657 0.750 0.343
20 O 0.688 0.055 0.869
21 O 0.688 0.445 0.869
22 O 0.746 0.050 0.520
23 O 0.746 0.450 0.520
24 O 0.826 0.065 0.202
25 O 0.826 0.435 0.202
26 O 0.898 0.750 0.019


2.
Computed powder XRD pattern of Ta4In2O for λ = 1.5418 Å (Cu Kα), from a structure optimized by DFT (GGA-PBE).
Neutral-atom scattering factors, no anomalous dispersion.

Top 8 peaks for 2θ from 10° to 80°, low angle first:
12.27 deg, d = 7.216 Å, intensity 23, hkl 0 0 2; 32.31 deg, d = 2.771 Å, intensity 68, hkl 1 1 2; 37.38 deg, d = 2.405 Å, intensity 30, hkl 0 0 6; 39.04 deg, d = 2.307 Å, intensity 100, hkl 1 1 4; 42.61 deg, d = 2.122 Å, intensity 54, hkl 2 0 0; 57.96 deg, d = 1.591 Å, intensity 34, hkl 2 0 6; 72.70 deg, d = 1.301 Å, intensity 21, hkl 1 1 10; 75.61 deg, d = 1.258 Å, intensity 29, hkl 3 1 4

Structural model:
Cell lengths 4.243, 4.243, 14.433 Å; angles 90.00, 90.00, 90.00 degrees
Sites, in units of the cell vectors:
1 Ta 0.000 0.000 0.148
2 Ta 0.000 0.000 0.852
3 Ta 0.000 0.500 0.000
4 Ta 0.000 0.500 0.500
5 Ta 0.500 0.000 0.000
6 Ta 0.500 0.000 0.500
7 Ta 0.500 0.500 0.352
8 Ta 0.500 0.500 0.648
9 In 0.000 0.000 0.347
10 In 0.000 0.000 0.653
11 In 0.500 0.500 0.153
12 In 0.500 0.500 0.847
13 O 0.000 0.000 0.000
14 O 0.500 0.500 0.500